[1]
# DyZn6Au12
Theoretical powder XRD pattern, copper Kα. Input: the GGA-PBE geometry in Alexandria.
Kinematic intensities with the Lorentz-polarization factor, no thermal factor.

Most intense lines, 2θ = 10–90°, low angle first:
2theta  I/Imax
22.3  35
32.8  100
34.5  45
39.2  39
40.7  53
43.4  28
45.4  35
48.6  44
70.8  29
78.1  19

Cell and atoms:
```
data_DyZn6Au12
_symmetry_space_group_name_H-M 'P 1'
_symmetry_Int_Tables_number 1
_cell_length_a 7.5007
_cell_length_b 7.5007
_cell_length_c 7.5007
_cell_angle_alpha 106.17
_cell_angle_beta 106.17
_cell_angle_gamma 106.17
loop_
_symmetry_equiv_pos_as_xyz
'x,y,z'
loop_
_atom_site_label
_atom_site_fract_x
_atom_site_fract_y
_atom_site_fract_z
_atom_site_occupancy
Dy1 0.0000 0.0000 0.0000 1
Zn1 0.2898 0.2898 0.6931 1
Zn2 0.2898 0.6931 0.2898 1
Zn3 0.3069 0.7102 0.7102 1
Zn4 0.6931 0.2898 0.2898 1
Zn5 0.7102 0.3069 0.7102 1
Zn6 0.7102 0.7102 0.3069 1
Au1 0.1187 0.3649 0.3649 1
Au2 0.1187 0.5000 0.8813 1
Au3 0.1187 0.8813 0.5000 1
Au4 0.3649 0.1187 0.3649 1
Au5 0.3649 0.3649 0.1187 1
Au6 0.5000 0.1187 0.8813 1
Au7 0.5000 0.8813 0.1187 1
Au8 0.6351 0.6351 0.8813 1
Au9 0.6351 0.8813 0.6351 1
Au10 0.8813 0.1187 0.5000 1
Au11 0.8813 0.5000 0.1187 1
Au12 0.8813 0.6351 0.6351 1
```

---

[2]
# Dy3Zn7Au4
Theoretical powder XRD pattern, copper Kα. Input: the GGA-PBE geometry in Alexandria.
Kinematic intensities with the Lorentz-polarization factor, no thermal factor.

Most intense lines, 2θ = 10–90°, low angle first:
2theta  I/Imax
26.1  41
33.3  52
34.6  70
35.1  68
35.6  54
35.8  100
36.2  35
39.9  33
40.8  99
45.1  69

Cell and atoms:
```
data_Dy3Zn7Au4
_symmetry_space_group_name_H-M 'P 1'
_symmetry_Int_Tables_number 1
_cell_length_a 8.2306
_cell_length_b 8.2306
_cell_length_c 9.1444
_cell_angle_alpha 122.66
_cell_angle_beta 122.66
_cell_angle_gamma 31.18
loop_
_symmetry_equiv_pos_as_xyz
'x,y,z'
loop_
_atom_site_label
_atom_site_fract_x
_atom_site_fract_y
_atom_site_fract_z
_atom_site_occupancy
Dy1 0.0000 0.0000 0.0000 1
Dy2 0.2943 0.2943 0.2918 1
Dy3 0.7057 0.7057 0.7082 1
Zn1 0.0000 0.0000 0.5000 1
Zn2 0.1381 0.1381 0.4269 1
Zn3 0.3327 0.3327 0.9828 1
Zn4 0.4988 0.4988 0.6756 1
Zn5 0.5012 0.5012 0.3244 1
Zn6 0.6673 0.6673 0.0172 1
Zn7 0.8619 0.8619 0.5731 1
Au1 0.1261 0.1261 0.8435 1
Au2 0.3440 0.3440 0.7115 1
Au3 0.6560 0.6560 0.2885 1
Au4 0.8739 0.8739 0.1565 1
```

---

[3]
# Dy7Zn2Au2
Theoretical powder XRD pattern, copper Kα. Input: the GGA-PBE geometry in Alexandria.
Kinematic intensities with the Lorentz-polarization factor, no thermal factor.

Most intense lines, 2θ = 10–90°, low angle first:
2theta  I/Imax
26.7  46
27.7  59
28.8  38
29.2  37
33.5  66
36.6  43
37.8  100
43.3  22
46.6  25
47.9  20

Cell and atoms:
```
data_Dy7Zn2Au2
_symmetry_space_group_name_H-M 'P 1'
_symmetry_Int_Tables_number 1
_cell_length_a 6.5231
_cell_length_b 6.5231
_cell_length_c 7.5964
_cell_angle_alpha 90.00
_cell_angle_beta 90.00
_cell_angle_gamma 110.43
loop_
_symmetry_equiv_pos_as_xyz
'x,y,z'
loop_
_atom_site_label
_atom_site_fract_x
_atom_site_fract_y
_atom_site_fract_z
_atom_site_occupancy
Dy1 0.0000 0.0000 0.0000 1
Dy2 0.0000 0.5000 0.2830 1
Dy3 0.0000 0.5000 0.7170 1
Dy4 0.5000 0.0000 0.2830 1
Dy5 0.5000 0.0000 0.7170 1
Dy6 0.5000 0.5000 0.2618 1
Dy7 0.5000 0.5000 0.7382 1
Zn1 0.2928 0.7072 0.0000 1
Zn2 0.7072 0.2928 0.0000 1
Au1 0.1895 0.1895 0.5000 1
Au2 0.8105 0.8105 0.5000 1
```

---

[4]
# Dy6Zn5Au
Theoretical powder XRD pattern, copper Kα. Input: the GGA-PBE geometry in Alexandria.
Kinematic intensities with the Lorentz-polarization factor, no thermal factor.

Most intense lines, 2θ = 10–90°, low angle first:
2theta  I/Imax
24.9  9
35.5  100
43.9  3
51.1  12
51.2  6
57.7  3
63.8  36
75.2  9
86.0  11
86.2  5

Cell and atoms:
```
data_Dy6Zn5Au
_symmetry_space_group_name_H-M 'P 1'
_symmetry_Int_Tables_number 1
_cell_length_a 5.0483
_cell_length_b 7.1513
_cell_length_c 7.9849
_cell_angle_alpha 90.00
_cell_angle_beta 108.35
_cell_angle_gamma 90.00
loop_
_symmetry_equiv_pos_as_xyz
'x,y,z'
loop_
_atom_site_label
_atom_site_fract_x
_atom_site_fract_y
_atom_site_fract_z
_atom_site_occupancy
Dy1 0.0000 0.2491 0.0000 1
Dy2 0.0000 0.7509 0.0000 1
Dy3 0.3334 0.2477 0.6665 1
Dy4 0.3334 0.7523 0.6665 1
Dy5 0.6666 0.2477 0.3335 1
Dy6 0.6666 0.7523 0.3335 1
Zn1 0.1682 0.0000 0.3365 1
Zn2 0.1721 0.5000 0.3450 1
Zn3 0.5000 0.0000 0.0000 1
Zn4 0.8279 0.5000 0.6550 1
Zn5 0.8318 0.0000 0.6635 1
Au1 0.5000 0.5000 0.0000 1
```

---

[5]
# DyZrAu2
Theoretical powder XRD pattern, copper Kα. Input: the GGA-PBE geometry in Alexandria.
Kinematic intensities with the Lorentz-polarization factor, no thermal factor.

Most intense lines, 2θ = 10–90°, low angle first:
2theta  I/Imax
35.9  100
36.6  49
50.7  9
52.7  17
64.1  17
65.4  35
76.1  10
85.5  7
88.8  8
89.2  8

Cell and atoms:
```
data_DyZrAu2
_symmetry_space_group_name_H-M 'P 1'
_symmetry_Int_Tables_number 1
_cell_length_a 3.4722
_cell_length_b 3.4722
_cell_length_c 7.2090
_cell_angle_alpha 90.00
_cell_angle_beta 90.00
_cell_angle_gamma 90.00
loop_
_symmetry_equiv_pos_as_xyz
'x,y,z'
loop_
_atom_site_label
_atom_site_fract_x
_atom_site_fract_y
_atom_site_fract_z
_atom_site_occupancy
Dy1 0.0000 0.0000 0.0000 1
Zr1 0.0000 0.0000 0.5000 1
Au1 0.5000 0.5000 0.2674 1
Au2 0.5000 0.5000 0.7326 1
```

---

[6]
# Er3Au
Theoretical powder XRD pattern, copper Kα. Input: the GGA-PBE geometry in Alexandria.
Kinematic intensities with the Lorentz-polarization factor, no thermal factor.

Most intense lines, 2θ = 10–90°, low angle first:
2theta  I/Imax
32.0  19
33.8  100
34.3  35
44.1  7
47.6  17
49.6  10
61.1  21
61.7  10
71.2  8
82.8  8

Cell and atoms:
```
data_Er3Au
_symmetry_space_group_name_H-M 'P 1'
_symmetry_Int_Tables_number 1
_cell_length_a 6.4377
_cell_length_b 6.4377
_cell_length_c 6.4377
_cell_angle_alpha 146.84
_cell_angle_beta 132.02
_cell_angle_gamma 59.57
loop_
_symmetry_equiv_pos_as_xyz
'x,y,z'
loop_
_atom_site_label
_atom_site_fract_x
_atom_site_fract_y
_atom_site_fract_z
_atom_site_occupancy
Er1 0.0000 0.0000 0.0000 1
Er2 0.2910 0.7910 0.5000 1
Er3 0.7090 0.2090 0.5000 1
Au1 0.5000 0.5000 0.0000 1
```

---

[7]
# Er2Au3
Theoretical powder XRD pattern, copper Kα. Input: the GGA-PBE geometry in Alexandria.
Kinematic intensities with the Lorentz-polarization factor, no thermal factor.

Most intense lines, 2θ = 10–90°, low angle first:
2theta  I/Imax
21.9  32
33.8  100
36.2  78
42.7  52
52.1  43
57.2  13
63.6  11
65.1  13
69.6  29
75.4  28

Cell and atoms:
```
data_Er2Au3
_symmetry_space_group_name_H-M 'P 1'
_symmetry_Int_Tables_number 1
_cell_length_a 8.5981
_cell_length_b 8.5981
_cell_length_c 8.5981
_cell_angle_alpha 109.47
_cell_angle_beta 109.47
_cell_angle_gamma 109.47
loop_
_symmetry_equiv_pos_as_xyz
'x,y,z'
loop_
_atom_site_label
_atom_site_fract_x
_atom_site_fract_y
_atom_site_fract_z
_atom_site_occupancy
Er1 0.0000 0.0768 0.5000 1
Er2 0.0000 0.5768 0.5000 1
Er3 0.0768 0.5000 0.0000 1
Er4 0.4232 0.4232 0.4232 1
Er5 0.5000 0.0000 0.0768 1
Er6 0.5000 0.0000 0.5768 1
Er7 0.5768 0.5000 0.0000 1
Er8 0.9232 0.9232 0.9232 1
Au1 0.0158 0.2500 0.2658 1
Au2 0.2342 0.4842 0.7500 1
Au3 0.2500 0.2658 0.0158 1
Au4 0.2500 0.9842 0.7342 1
Au5 0.2658 0.0158 0.2500 1
Au6 0.4842 0.7500 0.2342 1
Au7 0.5158 0.7658 0.7500 1
Au8 0.7342 0.2500 0.9842 1
Au9 0.7500 0.2342 0.4842 1
Au10 0.7500 0.5158 0.7658 1
Au11 0.7658 0.7500 0.5158 1
Au12 0.9842 0.7342 0.2500 1
```

---

[8]
# Er4Au
Theoretical powder XRD pattern, copper Kα. Input: the GGA-PBE geometry in Alexandria.
Kinematic intensities with the Lorentz-polarization factor, no thermal factor.

Most intense lines, 2θ = 10–90°, low angle first:
2theta  I/Imax
20.1  25
31.4  100
32.7  79
33.3  24
36.4  55
37.6  40
39.3  21
40.8  31
41.4  23
56.5  21

Cell and atoms:
```
data_Er4Au
_symmetry_space_group_name_H-M 'P 1'
_symmetry_Int_Tables_number 1
_cell_length_a 7.6749
_cell_length_b 6.9634
_cell_length_c 8.9252
_cell_angle_alpha 56.15
_cell_angle_beta 48.89
_cell_angle_gamma 74.96
loop_
_symmetry_equiv_pos_as_xyz
'x,y,z'
loop_
_atom_site_label
_atom_site_fract_x
_atom_site_fract_y
_atom_site_fract_z
_atom_site_occupancy
Er1 0.0343 0.9657 0.1896 1
Er2 0.0604 0.4396 0.2157 1
Er3 0.1024 0.5058 0.7634 1
Er4 0.4396 0.0604 0.2843 1
Er5 0.4866 0.6216 0.1475 1
Er6 0.5058 0.1024 0.6284 1
Er7 0.6216 0.4866 0.7442 1
Er8 0.9657 0.0343 0.8104 1
Au1 0.6483 0.6483 0.3517 1
Au2 0.8983 0.8983 0.6017 1
```

---

[9]
# Er3Au
Theoretical powder XRD pattern, copper Kα. Input: the GGA-PBE geometry in Alexandria.
Kinematic intensities with the Lorentz-polarization factor, no thermal factor.

Most intense lines, 2θ = 10–90°, low angle first:
2theta  I/Imax
30.7  91
31.1  77
31.8  74
33.6  39
34.3  100
36.3  73
38.5  33
52.7  30
55.1  43
62.9  31

Cell and atoms:
```
data_Er3Au
_symmetry_space_group_name_H-M 'P 1'
_symmetry_Int_Tables_number 1
_cell_length_a 8.9765
_cell_length_b 8.9765
_cell_length_c 8.9765
_cell_angle_alpha 96.66
_cell_angle_beta 96.66
_cell_angle_gamma 140.19
loop_
_symmetry_equiv_pos_as_xyz
'x,y,z'
loop_
_atom_site_label
_atom_site_fract_x
_atom_site_fract_y
_atom_site_fract_z
_atom_site_occupancy
Er1 0.0264 0.0248 0.5966 1
Er2 0.1435 0.4984 0.6432 1
Er3 0.1630 0.3557 0.9989 1
Er4 0.3568 0.1641 0.0011 1
Er5 0.4282 0.4298 0.4034 1
Er6 0.4997 0.8565 0.3550 1
Er7 0.5016 0.1447 0.6450 1
Er8 0.5702 0.9736 0.9984 1
Er9 0.6443 0.6432 0.8073 1
Er10 0.8359 0.8370 0.1927 1
Er11 0.8553 0.5003 0.3568 1
Er12 0.9752 0.5718 0.0016 1
Au1 0.0018 0.7081 0.7088 1
Au2 0.2919 0.0007 0.2938 1
Au3 0.7070 0.9982 0.7062 1
Au4 0.9993 0.2930 0.2912 1
```

---

[10]
# ErGaAu3
Theoretical powder XRD pattern, copper Kα. Input: the GGA-PBE geometry in Alexandria.
Kinematic intensities with the Lorentz-polarization factor, no thermal factor.

Most intense lines, 2θ = 10–90°, low angle first:
2theta  I/Imax
30.8  20
33.6  84
34.4  56
35.6  50
36.7  17
37.8  28
38.8  100
43.8  27
46.5  17
63.1  15

Cell and atoms:
```
data_ErGaAu3
_symmetry_space_group_name_H-M 'P 1'
_symmetry_Int_Tables_number 1
_cell_length_a 5.3985
_cell_length_b 5.8975
_cell_length_c 6.3229
_cell_angle_alpha 90.00
_cell_angle_beta 99.11
_cell_angle_gamma 90.00
loop_
_symmetry_equiv_pos_as_xyz
'x,y,z'
loop_
_atom_site_label
_atom_site_fract_x
_atom_site_fract_y
_atom_site_fract_z
_atom_site_occupancy
Er1 0.1860 0.2500 0.1896 1
Er2 0.8140 0.7500 0.8104 1
Ga1 0.0847 0.7500 0.3296 1
Ga2 0.9153 0.2500 0.6704 1
Au1 0.3118 0.0010 0.6407 1
Au2 0.3118 0.4990 0.6407 1
Au3 0.3474 0.7500 0.0334 1
Au4 0.6526 0.2500 0.9666 1
Au5 0.6882 0.5010 0.3593 1
Au6 0.6882 0.9990 0.3593 1
```

---

[11]
# ErGa2Au4
Theoretical powder XRD pattern, copper Kα. Input: the GGA-PBE geometry in Alexandria.
Kinematic intensities with the Lorentz-polarization factor, no thermal factor.

Most intense lines, 2θ = 10–90°, low angle first:
2theta  I/Imax
28.6  14
34.5  100
35.1  55
36.7  26
38.0  21
40.3  15
40.8  46
42.2  19
60.1  13
66.1  18

Cell and atoms:
```
data_ErGa2Au4
_symmetry_space_group_name_H-M 'P 1'
_symmetry_Int_Tables_number 1
_cell_length_a 17.6242
_cell_length_b 4.4242
_cell_length_c 6.8977
_cell_angle_alpha 90.00
_cell_angle_beta 90.00
_cell_angle_gamma 90.00
loop_
_symmetry_equiv_pos_as_xyz
'x,y,z'
loop_
_atom_site_label
_atom_site_fract_x
_atom_site_fract_y
_atom_site_fract_z
_atom_site_occupancy
Er1 0.1407 0.2500 0.0097 1
Er2 0.3593 0.7500 0.5097 1
Er3 0.6407 0.2500 0.4903 1
Er4 0.8593 0.7500 0.9903 1
Ga1 0.0399 0.7500 0.2667 1
Ga2 0.2259 0.2500 0.4994 1
Ga3 0.2741 0.7500 0.9994 1
Ga4 0.4601 0.2500 0.7667 1
Ga5 0.5399 0.7500 0.2333 1
Ga6 0.7259 0.2500 0.0006 1
Ga7 0.7741 0.7500 0.5006 1
Ga8 0.9601 0.2500 0.7333 1
Au1 0.0293 0.7500 0.8641 1
Au2 0.0775 0.2500 0.4976 1
Au3 0.1775 0.7500 0.7120 1
Au4 0.1874 0.7500 0.2954 1
Au5 0.3126 0.2500 0.7954 1
Au6 0.3225 0.2500 0.2120 1
Au7 0.4225 0.7500 0.9976 1
Au8 0.4707 0.2500 0.3641 1
Au9 0.5293 0.7500 0.6359 1
Au10 0.5775 0.2500 0.0024 1
Au11 0.6775 0.7500 0.7880 1
Au12 0.6874 0.7500 0.2046 1
Au13 0.8126 0.2500 0.7046 1
Au14 0.8225 0.2500 0.2880 1
Au15 0.9225 0.7500 0.5024 1
Au16 0.9707 0.2500 0.1359 1
```

---

[12]
# Er4Ga5Au2
Theoretical powder XRD pattern, copper Kα. Input: the GGA-PBE geometry in Alexandria.
Kinematic intensities with the Lorentz-polarization factor, no thermal factor.

Most intense lines, 2θ = 10–90°, low angle first:
2theta  I/Imax
11.6  27
23.4  15
34.1  62
34.7  100
39.9  32
40.1  27
41.5  24
51.9  16
67.5  25
68.6  16

Cell and atoms:
```
data_Er4Ga5Au2
_symmetry_space_group_name_H-M 'P 1'
_symmetry_Int_Tables_number 1
_cell_length_a 7.6387
_cell_length_b 3.5209
_cell_length_c 9.0119
_cell_angle_alpha 90.00
_cell_angle_beta 92.47
_cell_angle_gamma 90.00
loop_
_symmetry_equiv_pos_as_xyz
'x,y,z'
loop_
_atom_site_label
_atom_site_fract_x
_atom_site_fract_y
_atom_site_fract_z
_atom_site_occupancy
Er1 0.2328 0.0000 0.1355 1
Er2 0.2439 0.0000 0.6247 1
Er3 0.7561 0.0000 0.3753 1
Er4 0.7672 0.0000 0.8645 1
Ga1 0.1117 0.5000 0.8843 1
Ga2 0.4340 0.5000 0.3626 1
Ga3 0.5000 0.5000 0.0000 1
Ga4 0.5660 0.5000 0.6374 1
Ga5 0.8883 0.5000 0.1157 1
Au1 0.0864 0.5000 0.3679 1
Au2 0.9136 0.5000 0.6321 1
```